The following is a calculated X-ray powder pattern of Li4Fe3Co3Sb2O16. It was derived from a cell relaxed with PBE+U, using Cu Kα (weighted mean of Kα1 and Kα2).
Lines closer than 0.1° are merged.

Main lines, low angle first (10° ≤ 2θ ≤ 90°):
Position (°2θ)  I/Imax
19.61  100.0
19.84  89.6
32.91  24.3
33.23  23.6
35.23  23.0
35.51  32.4
35.80  32.8
36.11  33.4
36.36  33.2
63.22  46.6

Cell and atoms:
```
28
Lattice="5.094 -2.943 0.000 5.094 2.943 0.000 -0.200 0.000 9.593" Properties=species:S:1:pos:R:3 pbc="T T T"
Li 0.000 0.000 0.000
Li -0.081 0.000 4.778
Li 3.212 0.000 3.899
Li 6.499 0.000 8.758
Fe 4.035 1.445 6.925
Fe 4.035 -1.445 6.925
Fe 8.364 0.000 2.128
Co 1.564 0.000 6.932
Co 5.868 1.436 2.128
Co 5.868 -1.436 2.128
Sb 3.127 0.000 9.585
Sb 6.623 0.000 4.727
O -0.056 0.000 2.986
O -0.137 0.000 7.791
O 2.348 1.296 8.163
O 1.594 0.000 1.059
O 4.198 1.498 0.995
O 3.186 0.000 5.890
O 5.784 1.486 5.805
O 2.348 -1.296 8.163
O 4.660 0.000 8.228
O 7.362 1.341 3.354
O 5.140 0.000 3.259
O 6.656 0.000 1.143
O 4.198 -1.498 0.995
O 8.340 0.000 5.739
O 5.784 -1.486 5.805
O 7.362 -1.341 3.354
```

The following is a calculated X-ray powder pattern of LiMn7O12. It was derived from a cell relaxed with PBE+U, using Cu Kα (weighted mean of Kα1 and Kα2).
Lines closer than 0.1° are merged.

Main lines, low angle first (10° ≤ 2θ ≤ 90°):
Position (°2θ)  I/Imax
18.18  74.6
19.87  28.9
20.44  27.2
23.52  40.5
35.14  22.1
37.08  21.7
42.42  100.0
43.34  47.3
61.78  26.9
62.73  23.1

Cell and atoms:
```
20
Lattice="2.610 -4.469 0.000 2.610 4.469 0.000 -2.102 0.000 9.759" Properties=species:S:1:pos:R:3 pbc="T T T"
Li 0.000 0.000 0.000
Mn 0.766 1.467 2.298
Mn 1.559 3.087 4.880
Mn 2.610 1.520 0.000
Mn 1.559 0.086 4.880
Mn 2.352 1.467 7.462
Mn 2.610 -1.373 0.000
Mn 1.559 -2.871 4.880
O 1.606 2.833 1.080
O -0.096 0.226 3.847
O 0.901 1.471 6.030
O 1.512 2.833 8.679
O 1.771 0.114 0.986
O 2.217 1.471 3.729
O 0.640 -1.435 5.818
O 1.347 0.114 8.773
O 1.873 -2.773 1.143
O 2.479 -1.435 3.942
O 3.214 0.226 5.912
O 1.245 -2.773 8.617
```

The following is a calculated X-ray powder pattern of Sr3Fe2Se6O18. It was derived from a cell relaxed with PBE+U, using Cu Kα (weighted mean of Kα1 and Kα2).
Lines closer than 0.1° are merged.

Main lines, low angle first (10° ≤ 2θ ≤ 90°):
Position (°2θ)  I/Imax
14.46  11.8
19.91  15.1
24.69  12.6
28.27  100.0
29.16  18.7
30.70  16.5
34.84  18.4
42.24  10.4
45.43  14.0
54.37  11.2

Cell and atoms:
```
58
Lattice="4.460 2.575 13.404 -4.460 2.575 13.404 0.000 -5.150 13.404" Properties=species:S:1:pos:R:3 pbc="T T T"
Sr -2.624 0.605 16.755
Sr -1.836 -1.970 23.457
Sr 0.788 -2.575 16.755
Sr -0.788 2.575 23.457
Sr 1.836 1.970 16.755
Sr 2.624 -0.605 23.457
Fe 0.000 0.000 0.000
Fe 0.000 0.000 10.053
Fe 0.000 0.000 20.106
Fe 0.000 0.000 30.158
Se -2.547 -0.021 12.218
Se -1.914 -2.596 18.920
Se -3.205 0.359 21.291
Se 1.292 -2.195 12.218
Se -1.255 -2.216 27.993
Se 1.292 -2.956 21.291
Se -1.292 2.956 18.920
Se 1.255 2.216 12.218
Se -1.292 2.195 27.993
Se 3.205 -0.359 18.920
Se 1.914 2.596 21.291
Se 2.547 0.021 27.993
O -1.387 -0.910 8.838
O -1.317 -3.802 17.896
O -3.951 -0.760 22.315
O -0.516 -3.619 14.654
O -1.317 -1.348 15.614
O -0.094 -1.656 11.268
O -3.392 -1.363 25.558
O -1.387 0.910 11.268
O -2.876 2.256 14.654
O -0.516 -1.531 18.856
O -0.094 1.656 8.838
O -1.584 -0.319 21.355
O 1.482 -0.747 8.838
O -2.634 3.042 17.896
O -1.068 1.212 18.856
O -1.826 0.467 24.598
O -0.509 1.815 15.614
O 1.482 0.747 11.268
O -1.482 -0.747 28.944
O 0.509 -1.815 24.598
O 1.826 -0.467 15.614
O 1.068 -1.212 21.355
O 2.634 -3.042 22.315
O -1.482 0.747 31.373
O 1.584 0.319 18.856
O 0.094 -1.656 31.373
O 0.516 1.531 21.355
O 2.876 -2.256 25.558
O 1.387 -0.910 28.944
O 3.392 1.363 14.654
O 0.094 1.656 28.944
O 1.317 1.348 24.598
O 0.516 3.619 25.558
O 3.951 0.760 17.896
O 1.317 3.802 22.315
O 1.387 0.910 31.373
```

The following is a calculated X-ray powder pattern of BaNi4O7. It was derived from a cell relaxed with PBE+U, using Cu Kα (weighted mean of Kα1 and Kα2).
Lines closer than 0.1° are merged.

Main lines, low angle first (10° ≤ 2θ ≤ 90°):
Position (°2θ)  I/Imax
18.56  57.0
30.93  45.1
33.62  73.5
34.33  100.0
34.95  26.6
52.17  16.3
53.97  18.7
56.27  28.8
59.26  30.3
70.68  16.4

Cell and atoms:
```
24
Lattice="6.237 0.000 0.000 -3.119 5.402 0.000 0.000 0.000 10.269" Properties=species:S:1:pos:R:3 pbc="T T T"
Ba 0.000 3.601 0.000
Ba 3.119 1.801 5.134
Ni 0.000 0.000 4.550
Ni 0.000 0.000 9.684
Ni 0.000 1.853 7.028
Ni -1.514 4.475 7.028
Ni 1.605 0.926 1.893
Ni 1.514 4.475 7.028
Ni 4.633 0.926 1.893
Ni 3.119 3.549 1.893
O 0.000 0.000 2.601
O 0.000 0.000 7.735
O -1.495 2.738 7.626
O 0.000 1.708 5.199
O -1.640 4.548 5.199
O 1.479 0.854 0.065
O 1.495 2.738 7.626
O 0.000 5.327 7.626
O 3.119 0.075 2.492
O 1.624 2.664 2.492
O 1.640 4.548 5.199
O 4.758 0.854 0.065
O 3.119 3.694 0.065
O 4.613 2.664 2.492
```

What did the first record say?
The following is a calculated X-ray powder pattern of Li4Fe3Co3Sb2O16. It was derived from a cell relaxed with PBE+U, using Cu Kα (weighted mean of Kα1 and Kα2).
Lines closer than 0.1° are merged.

Main lines, low angle first (10° ≤ 2θ ≤ 90°):
Position (°2θ)  I/Imax
19.61  100.0
19.84  89.6
32.91  24.3
33.23  23.6
35.23  23.0
35.51  32.4
35.80  32.8
36.11  33.4
36.36  33.2
63.22  46.6

Cell and atoms:
```
28
Lattice="5.094 -2.943 0.000 5.094 2.943 0.000 -0.200 0.000 9.593" Properties=species:S:1:pos:R:3 pbc="T T T"
Li 0.000 0.000 0.000
Li -0.081 0.000 4.778
Li 3.212 0.000 3.899
Li 6.499 0.000 8.758
Fe 4.035 1.445 6.925
Fe 4.035 -1.445 6.925
Fe 8.364 0.000 2.128
Co 1.564 0.000 6.932
Co 5.868 1.436 2.128
Co 5.868 -1.436 2.128
Sb 3.127 0.000 9.585
Sb 6.623 0.000 4.727
O -0.056 0.000 2.986
O -0.137 0.000 7.791
O 2.348 1.296 8.163
O 1.594 0.000 1.059
O 4.198 1.498 0.995
O 3.186 0.000 5.890
O 5.784 1.486 5.805
O 2.348 -1.296 8.163
O 4.660 0.000 8.228
O 7.362 1.341 3.354
O 5.140 0.000 3.259
O 6.656 0.000 1.143
O 4.198 -1.498 0.995
O 8.340 0.000 5.739
O 5.784 -1.486 5.805
O 7.362 -1.341 3.354
```